Starting from the GGA+U geometry in Alexandria, the powder diffraction line list of La4MnSe6O was computed for copper Kα.

Largest 10 diffraction maxima, by angle, 2θ from 10° to 80°:
| h k l | Position (°2θ) | d_spacing | intensity |
| --- | --- | --- | --- |
| 2 0 1 | 24.54 | 3.627 | 72 |
| 2 1 1 | 30.71 | 2.911 | 67 |
| 2 0 2 | 33.04 | 2.711 | 100 |
| 3 0 1 | 34.26 | 2.617 | 80 |
| 2 2 0 | 36.84 | 2.440 | 56 |
| 2 1 2 | 37.97 | 2.370 | 29 |
| 2 0 3 | 44.00 | 2.058 | 34 |
| 4 0 1 | 44.76 | 2.025 | 22 |
| 3 3 0 | 56.58 | 1.627 | 22 |
| 3 2 3 | 61.98 | 1.497 | 22 |

Crystal structure
```
data_La4MnSe6O
_cell_length_a 9.760
_cell_length_b 9.760
_cell_length_c 7.069
_cell_angle_alpha 90.00
_cell_angle_beta 90.00
_cell_angle_gamma 120.00
_symmetry_space_group_name_H-M 'P 1'
_symmetry_Int_Tables_number 1
_symmetry_space_group_name_Hall 'P 1'
loop_
_atom_site_label
_atom_site_type_symbol
_atom_site_fract_x
_atom_site_fract_y
_atom_site_fract_z
_atom_site_occupancy
La1 La 0.198 0.397 0.000 1
La2 La 0.198 0.802 0.000 1
La3 La 0.333 0.667 0.549 1
La4 La 0.397 0.198 0.500 1
La5 La 0.603 0.802 0.000 1
La6 La 0.667 0.333 0.049 1
La7 La 0.802 0.198 0.500 1
La8 La 0.802 0.603 0.500 1
Mn1 Mn 0.000 0.000 0.354 1
Mn2 Mn 0.000 0.000 0.854 1
Se1 Se 0.058 0.529 0.288 1
Se2 Se 0.115 0.230 0.610 1
Se3 Se 0.115 0.885 0.610 1
Se4 Se 0.230 0.115 0.110 1
Se5 Se 0.471 0.529 0.288 1
Se6 Se 0.471 0.942 0.288 1
Se7 Se 0.529 0.058 0.788 1
Se8 Se 0.529 0.471 0.788 1
Se9 Se 0.770 0.885 0.610 1
Se10 Se 0.885 0.115 0.110 1
Se11 Se 0.885 0.770 0.110 1
Se12 Se 0.942 0.471 0.788 1
O1 O 0.333 0.667 0.882 1
O2 O 0.667 0.333 0.382 1
```